This entry pairs a crystal structure of Pu2MnCuO8 with its calculated PXRD pattern. Radiation: Cu Kα (weighted mean of Kα1 and Kα2). Structure: a DFT-relaxed cell (PBE+U, Alexandria).
Intensities are scaled so that the largest is 1000.

Principal peaks in the range 2θ from 10° to 80°, by angle:
d (Å), Rel. int.
4.684, 684
3.323, 470
3.301, 470
2.786, 1000
1.796, 345
1.789, 353

Structure:
a = 4.684 Å, b = 4.684 Å, c = 6.931 Å
α = 90.00°, β = 90.00°, γ = 90.39°
Element x y z (fractional)
Pu  0.000  0.000  0.248
Pu  0.000  0.000  0.752
Mn  0.500  0.500  0.500
Cu  0.500  0.500  0.000
O  0.195  0.195  0.500
O  0.200  0.200  0.000
O  0.291  0.709  0.252
O  0.291  0.709  0.748
O  0.709  0.291  0.252
O  0.709  0.291  0.748
O  0.800  0.800  0.000
O  0.805  0.805  0.500